The following is a calculated XRD peak list of K2TbVF6. It was derived from DFT lattice parameters and positions (GGA+U), using Cu Kα.

```
K2TbVF6
1.0
5.966 0.000 0.000
0.000 10.275 0.000
0.000 0.000 6.281
K Tb V F
4 2 2 12
Cartesian
1.491 0.015 1.517
1.491 5.122 1.517
4.474 5.153 4.764
4.474 10.260 4.764
1.491 7.706 5.070
4.474 2.569 1.211
1.491 2.569 4.339
4.474 7.706 1.942
0.002 2.569 5.868
5.964 7.706 0.412
0.072 2.569 2.745
1.491 5.526 5.164
1.491 9.887 5.164
2.911 2.569 2.745
2.981 2.569 5.868
2.985 7.706 0.412
3.055 7.706 3.535
4.474 0.388 1.117
4.474 4.749 1.117
5.894 7.706 3.535
```

Top 10 peaks for 15° ≤ 2θ ≤ 90°, sorted by position:
| two_theta | intensity | index |
| --- | --- | --- |
| 16.54 | 30.5 | 0 1 1 |
| 17.23 | 65.3 | 0 2 0 |
| 20.53 | 35.2 | 1 0 1 |
| 22.30 | 18.0 | 1 1 1 |
| 26.95 | 100.0 | 1 2 1 |
| 29.96 | 20.1 | 2 0 0 |
| 34.93 | 32.5 | 0 4 0 |
| 41.77 | 27.2 | 2 0 2 |
| 42.72 | 22.1 | 2 1 2 |
| 55.56 | 20.8 | 2 4 2 |